Record 1
Starting from a structure optimized by DFT (PBE), the X-ray powder pattern of K4SnTe2Se2 was calculated for Cu Ka.

Largest 6 diffraction maxima, by angle, 2θ from 10° to 80°:
2theta  Rel. int.  (hkl)
13.22  100  0 1 1
26.24  86  3 2 1
27.27  84  3 0 2
33.20  47  0 4 0
37.62  47  2 2 3
39.18  56  6 2 0

Crystal structure
```
data_K4SnTe2Se2
_chemical_formula_sum 'K16 Sn4 Te8 Se8'
_symmetry_space_group_name_H-M 'P n m a'
_symmetry_Int_Tables_number 62
_symmetry_space_group_name_Hall '-P 2ac 2n'
_cell_length_a 15.255
_cell_length_b 10.793
_cell_length_c 8.541
_cell_angle_alpha 90.00
_cell_angle_beta 90.00
_cell_angle_gamma 90.00
loop_
_atom_site_label
_atom_site_fract_x
_atom_site_fract_y
_atom_site_fract_z
_atom_site_occupancy
K1 0.000 0.000 0.000 1
K2 0.065 0.250 0.489 1
K3 0.230 0.537 0.645 1
Sn1 0.161 0.750 0.264 1
Te1 0.165 0.250 0.875 1
Te2 0.165 0.750 0.936 1
Se1 0.084 0.554 0.358 1
```

Record 2
Starting from a structure optimized by DFT (PBE), the X-ray powder pattern of Sm2Y6Er5 was calculated for Cu Ka.

Largest 6 diffraction maxima, by angle, 2θ from 10° to 80°:
2theta  Rel. int.  (hkl)
30.92  49  4 1 0
31.59  56  1 4 1
31.95  100  1 7 0
32.21  95  2 3 1
34.33  34  2 4 1
61.48  35  1 7 2

Crystal structure
```
data_Sm2Y6Er5
_chemical_formula_sum 'Sm4 Y12 Er10'
_symmetry_space_group_name_H-M 'P b a m'
_symmetry_Int_Tables_number 55
_symmetry_space_group_name_Hall '-P 2 2ab'
_cell_length_a 11.689
_cell_length_b 20.175
_cell_length_c 3.579
_cell_angle_alpha 90.00
_cell_angle_beta 90.00
_cell_angle_gamma 90.00
loop_
_atom_site_label
_atom_site_fract_x
_atom_site_fract_y
_atom_site_fract_z
_atom_site_occupancy
Sm1 0.165 0.212 0.000 1
Y1 0.057 0.920 0.000 1
Y2 0.085 0.632 0.000 1
Y3 0.175 0.370 0.500 1
Er1 0.000 0.500 0.500 1
Er2 0.093 0.774 0.500 1
Er3 0.199 0.049 0.500 1
```

Record 3
Starting from a structure optimized by DFT (PBE), the X-ray powder pattern of LaPmYEr3 was calculated for Cu Ka.

Largest 6 diffraction maxima, by angle, 2θ from 10° to 80°:
2theta  Rel. int.  (hkl)
24.94  42  0 0 2
30.35  100  5 1 -1
30.49  77  5 1 1
31.68  97  0 2 0
32.60  45  3 1 -2
32.76  74  3 1 2

Crystal structure
```
data_LaPmYEr3
_chemical_formula_sum 'La4 Pm4 Y4 Er12'
_symmetry_space_group_name_H-M 'C 1 2/m 1'
_symmetry_Int_Tables_number 12
_symmetry_space_group_name_Hall '-C 2y'
_cell_length_a 19.630
_cell_length_b 5.649
_cell_length_c 7.140
_cell_angle_alpha 90.00
_cell_angle_beta 90.41
_cell_angle_gamma 90.00
loop_
_atom_site_label
_atom_site_fract_x
_atom_site_fract_y
_atom_site_fract_z
_atom_site_occupancy
La1 0.145 0.000 0.034 1
Pm1 0.051 0.500 0.267 1
Y1 0.151 0.000 0.458 1
Er1 0.024 0.000 0.735 1
Er2 0.164 0.500 0.731 1
Er3 0.221 0.500 0.241 1
```

Record 4
Starting from a structure optimized by DFT (PBE), the X-ray powder pattern of YTa2W was calculated for Cu Ka.

Largest 6 diffraction maxima, by angle, 2θ from 10° to 80°:
2theta  Rel. int.  (hkl)
36.76  27  0 0 2
37.00  27  0 2 0
37.82  100  1 1 1
53.14  19  0 2 2
66.90  19  1 1 3
67.22  19  1 3 1

Crystal structure
```
data_YTa2W
_chemical_formula_sum 'Y1 Ta2 W1'
_symmetry_space_group_name_H-M 'P m m m'
_symmetry_Int_Tables_number 47
_symmetry_space_group_name_Hall '-P 2 2'
_cell_length_a 3.287
_cell_length_b 4.859
_cell_length_c 4.890
_cell_angle_alpha 90.00
_cell_angle_beta 90.00
_cell_angle_gamma 90.00
loop_
_atom_site_label
_atom_site_fract_x
_atom_site_fract_y
_atom_site_fract_z
_atom_site_occupancy
Y1 0.000 0.000 0.000 1
Ta1 0.000 0.500 0.500 1
Ta2 0.500 0.500 0.000 1
W1 0.500 0.000 0.500 1
```

Record 5
Starting from a structure optimized by DFT (PBE), the X-ray powder pattern of PmIr2O8 was calculated for Cu Ka.

Largest 6 diffraction maxima, by angle, 2θ from 10° to 80°:
2theta  Rel. int.  (hkl)
20.89  100  0 1 1
28.97  38  1 1 0
30.43  24  1 0 2
35.98  14  2 0 1
42.51  15  0 2 2
46.83  23  1 2 1

Crystal structure
```
data_PmIr2O8
_chemical_formula_sum 'Pm1 Ir2 O8'
_symmetry_space_group_name_H-M 'P -3 m 1'
_symmetry_Int_Tables_number 164
_symmetry_space_group_name_Hall '-P 3 2"'
_cell_length_a 6.1652
_cell_length_b 6.1652
_cell_length_c 7.0355
_cell_angle_alpha 90.00
_cell_angle_beta 90.00
_cell_angle_gamma 120.00
loop_
_atom_site_label
_atom_site_fract_x
_atom_site_fract_y
_atom_site_fract_z
_atom_site_occupancy
Pm1 0.0000 0.0000 0.0000 1
Ir1 0.3333 0.6667 0.2933 1
O1 0.1783 0.3566 0.1865 1
O2 0.3333 0.6667 0.5422 1
```

Record 6
Starting from a structure optimized by DFT (PBE), the X-ray powder pattern of Ce2Sm3YS6 was calculated for Cu Ka.

Largest 6 diffraction maxima, by angle, 2θ from 10° to 80°:
2theta  Rel. int.  (hkl)
27.31  70  2 0 0
31.64  100  1 3 1
45.35  72  2 0 2
53.73  20  2 6 0
56.33  19  0 0 4
75.09  21  1 9 1

Crystal structure
```
data_Ce2Sm3YS6
_chemical_formula_sum 'Ce4 Sm6 Y2 S12'
_symmetry_space_group_name_H-M 'C 1 2/m 1'
_symmetry_Int_Tables_number 12
_symmetry_space_group_name_Hall '-C 2y'
_cell_length_a 6.922
_cell_length_b 12.005
_cell_length_c 6.931
_cell_angle_alpha 90.00
_cell_angle_beta 109.55
_cell_angle_gamma 90.00
loop_
_atom_site_label
_atom_site_fract_x
_atom_site_fract_y
_atom_site_fract_z
_atom_site_occupancy
Ce1 0.000 0.166 0.000 1
Sm1 0.000 0.000 0.500 1
Sm2 0.000 0.333 0.500 1
Y1 0.000 0.500 0.000 1
S1 0.246 0.500 0.751 1
S2 0.247 0.336 0.248 1
```

Record 7
Starting from a structure optimized by DFT (PBE), the X-ray powder pattern of Tb7In2Cu2 was calculated for Cu Ka.

Largest 6 diffraction maxima, by angle, 2θ from 10° to 80°:
2theta  Rel. int.  (hkl)
27.25  78  2 2 0
28.87  54  1 1 2
30.02  29  0 2 2
31.87  71  0 4 0
36.83  45  1 3 2
37.58  100  2 2 2

Crystal structure
```
data_Tb7In2Cu2
_chemical_formula_sum 'Tb14 In4 Cu4'
_symmetry_space_group_name_H-M 'C m m m'
_symmetry_Int_Tables_number 65
_symmetry_space_group_name_Hall '-C 2 2'
_cell_length_a 8.056
_cell_length_b 11.233
_cell_length_c 7.019
_cell_angle_alpha 90.00
_cell_angle_beta 90.00
_cell_angle_gamma 90.00
loop_
_atom_site_label
_atom_site_fract_x
_atom_site_fract_y
_atom_site_fract_z
_atom_site_occupancy
Tb1 0.000 0.000 0.000 1
Tb2 0.000 0.500 0.241 1
Tb3 0.250 0.250 0.254 1
In1 0.174 0.000 0.500 1
Cu1 0.000 0.295 0.000 1
```

Record 8
Starting from a structure optimized by DFT (PBE), the X-ray powder pattern of Na5B7C3 was calculated for Cu Ka.

Largest 6 diffraction maxima, by angle, 2θ from 10° to 80°:
2theta  Rel. int.  (hkl)
34.93  8  2 0 4
36.24  12  1 1 2
40.92  18  2 0 -6
41.00  18  6 0 2
42.13  100  8 0 -4
63.50  12  3 1 6

Crystal structure
```
data_Na5B7C3
_chemical_formula_sum 'Na20 B28 C12'
_symmetry_space_group_name_H-M 'C 1 m 1'
_symmetry_Int_Tables_number 8
_symmetry_space_group_name_Hall 'C -2y'
_cell_length_a 17.889
_cell_length_b 2.830
_cell_length_c 13.394
_cell_angle_alpha 90.00
_cell_angle_beta 113.22
_cell_angle_gamma 90.00
loop_
_atom_site_label
_atom_site_fract_x
_atom_site_fract_y
_atom_site_fract_z
_atom_site_occupancy
Na1 0.000 0.000 0.000 1
Na2 0.001 0.000 0.497 1
Na3 0.099 0.500 0.197 1
Na4 0.100 0.500 0.700 1
Na5 0.196 0.000 0.397 1
Na6 0.201 0.000 0.899 1
Na7 0.299 0.500 0.599 1
Na8 0.300 0.500 0.097 1
Na9 0.399 0.000 0.801 1
Na10 0.401 0.000 0.295 1
B1 0.041 0.000 0.832 1
B2 0.061 0.500 0.370 1
B3 0.130 0.500 0.509 1
B4 0.135 0.500 0.021 1
B5 0.169 0.000 0.589 1
B6 0.229 0.000 0.208 1
B7 0.263 0.500 0.777 1
B8 0.322 0.500 0.392 1
B9 0.332 0.500 0.915 1
B10 0.366 0.000 0.479 1
B11 0.372 0.000 0.995 1
B12 0.430 0.000 0.609 1
B13 0.467 0.500 0.181 1
B14 0.472 0.500 0.697 1
C1 0.031 0.000 0.308 1
C2 0.072 0.500 0.895 1
C3 0.166 0.000 0.084 1
C4 0.231 0.000 0.715 1
C5 0.262 0.500 0.272 1
C6 0.435 0.000 0.119 1
```

Record 9
Starting from a structure optimized by DFT (PBE), the X-ray powder pattern of Ho4PtAu2 was calculated for Cu Ka.

Largest 6 diffraction maxima, by angle, 2θ from 10° to 80°:
2theta  Rel. int.  (hkl)
35.79  97  0 1 8
36.18  100  1 1 0
51.81  34  2 0 8
64.05  15  1 0 16
64.82  35  1 2 8
65.08  18  3 0 0

Crystal structure
```
data_Ho4PtAu2
_chemical_formula_sum 'Ho12 Pt3 Au6'
_symmetry_space_group_name_H-M 'R -3 m'
_symmetry_Int_Tables_number 166
_symmetry_space_group_name_Hall '-R 3 2"'
_cell_length_a 4.9650
_cell_length_b 4.9650
_cell_length_c 24.7152
_cell_angle_alpha 90.00
_cell_angle_beta 90.00
_cell_angle_gamma 120.00
loop_
_atom_site_label
_atom_site_fract_x
_atom_site_fract_y
_atom_site_fract_z
_atom_site_occupancy
Ho1 0.0000 0.0000 0.1224 1
Ho2 0.0000 0.0000 0.3725 1
Pt1 0.0000 0.0000 0.0000 1
Au1 0.0000 0.0000 0.2420 1
```

Record 10
Starting from a structure optimized by DFT (PBE), the X-ray powder pattern of Ca3Al4Ag4 was calculated for Cu Ka.

Largest 6 diffraction maxima, by angle, 2θ from 10° to 80°:
2theta  Rel. int.  (hkl)
22.29  37  2 0 0
27.39  86  2 1 1
31.73  100  2 2 0
35.59  47  3 1 0
42.40  45  3 2 1
48.41  82  4 1 1

Crystal structure
```
data_Ca3Al4Ag4
_chemical_formula_sum 'Ca6 Al8 Ag8'
_symmetry_space_group_name_H-M 'I -4 3 m'
_symmetry_Int_Tables_number 217
_symmetry_space_group_name_Hall 'I -4 2 3'
_cell_length_a 7.977
_cell_length_b 7.977
_cell_length_c 7.977
_cell_angle_alpha 90.00
_cell_angle_beta 90.00
_cell_angle_gamma 90.00
loop_
_atom_site_label
_atom_site_fract_x
_atom_site_fract_y
_atom_site_fract_z
_atom_site_occupancy
Ca1 0.000 0.000 0.500 1
Al1 0.125 0.125 0.125 1
Ag1 0.195 0.195 0.805 1
```

Record 11
Starting from a structure optimized by DFT (PBE), the X-ray powder pattern of LaGdAu was calculated for Cu Ka.

Largest 6 diffraction maxima, by angle, 2θ from 10° to 80°:
2theta  Rel. int.  (hkl)
14.14  14  0 0 2
32.21  100  1 0 3
34.04  49  1 1 0
48.90  18  2 0 0
56.23  14  1 1 6
59.77  34  2 1 3

Crystal structure
```
data_LaGdAu
_chemical_formula_sum 'La2 Gd2 Au2'
_symmetry_space_group_name_H-M 'I 4 m m'
_symmetry_Int_Tables_number 107
_symmetry_space_group_name_Hall 'I 4 -2'
_cell_length_a 3.725
_cell_length_b 3.725
_cell_length_c 12.523
_cell_angle_alpha 90.00
_cell_angle_beta 90.00
_cell_angle_gamma 90.00
loop_
_atom_site_label
_atom_site_fract_x
_atom_site_fract_y
_atom_site_fract_z
_atom_site_occupancy
La1 0.000 0.000 0.000 1
Gd1 0.000 0.000 0.711 1
Au1 0.000 0.000 0.340 1
```

Record 12
Starting from a structure optimized by DFT (PBE), the X-ray powder pattern of MnPtCl5 was calculated for Cu Ka.

Largest 6 diffraction maxima, by angle, 2θ from 10° to 80°:
2theta  Rel. int.  (hkl)
17.32  36  1 1 0
18.39  48  1 0 1
19.82  100  0 1 -1
23.70  55  1 1 2
34.44  47  2 0 -1
35.35  34  1 3 2

Crystal structure
```
data_MnPtCl5
_chemical_formula_sum 'Mn2 Pt2 Cl10'
_symmetry_space_group_name_H-M 'P -1'
_symmetry_Int_Tables_number 2
_symmetry_space_group_name_Hall '-P 1'
_cell_length_a 6.040
_cell_length_b 7.911
_cell_length_c 8.425
_cell_angle_alpha 67.04
_cell_angle_beta 78.30
_cell_angle_gamma 72.17
loop_
_atom_site_label
_atom_site_fract_x
_atom_site_fract_y
_atom_site_fract_z
_atom_site_occupancy
Mn1 0.000 0.000 0.000 1
Mn2 0.000 0.500 0.500 1
Pt1 0.339 0.220 0.252 1
Cl1 0.019 0.754 0.592 1
Cl2 0.127 0.274 0.763 1
Cl3 0.283 0.987 0.176 1
Cl4 0.307 0.765 0.918 1
Cl5 0.400 0.428 0.359 1
```